Entry 1:
The following is a simulated powder X-ray diffraction pattern of KPrMnNbO6. It was derived from a PBE+U-relaxed structure, using CuKα.
No peak broadening, texture or thermal motion is included.

Atomic structure:
```
KPrMnNbO6
1.0
0.0000 4.0065 4.0065
4.0065 0.0000 4.0065
4.0065 4.0065 0.0000
K Pr Mn Nb O
1 1 1 1 6
Cartesian
0.0000 0.0000 0.0000
4.0065 4.0065 4.0065
6.0097 6.0097 6.0097
2.0032 2.0032 2.0032
2.0032 2.0032 0.0075
2.0032 0.0075 2.0032
3.9989 2.0032 2.0032
0.0075 2.0032 2.0032
2.0032 3.9989 2.0032
2.0032 2.0032 3.9989
```

Largest 10 diffraction maxima, most intense first, 2θ = 10–80°:
d (Å)	I (rel.)
2.833	1000
1.636	381
2.003	361
4.626	288
1.417	210
2.416	168
1.267	161
1.838	77
2.313	68
1.542	60

***

Entry 2:
The following is a simulated powder X-ray diffraction pattern of Li2Fe2C2O7. It was derived from a PBE+U-relaxed structure, using CuKα.
No peak broadening, texture or thermal motion is included.

Atomic structure:
```
Li2Fe2C2O7
1.0
9.1109 0.0000 0.0000
0.0000 6.6088 0.0000
-2.1700 0.0000 10.4820
Li Fe C O
8 8 8 28
Cartesian
0.4064 1.3622 0.1619
-0.6787 1.9422 5.4030
2.5031 4.5442 4.4173
1.4181 5.3689 9.6584
5.5228 1.2398 0.8237
4.4378 2.0646 6.0647
7.6196 4.6665 5.0791
6.5346 5.2466 10.3201
-0.3693 0.6797 2.7227
-1.4543 2.6247 7.9637
1.1196 0.5250 7.0756
2.2046 2.7793 1.8346
4.7363 3.8294 8.6475
5.8213 6.0837 3.4064
8.3952 3.9841 2.5183
7.3102 5.9291 7.7593
0.5911 4.5934 6.7440
1.6762 5.3197 1.5030
0.9252 1.6237 9.9407
2.0102 1.6807 4.6997
4.9307 4.9281 5.7823
6.0157 4.9850 0.5413
5.2648 1.2890 8.9791
6.3498 2.0153 3.7380
-0.8867 0.9338 7.0367
0.1983 2.3706 1.7957
-0.1263 3.5874 6.3318
0.9587 6.3257 1.0908
0.8510 1.1524 4.4537
-0.2341 2.1519 9.6948
1.4491 4.8224 2.6956
0.3641 5.0907 7.9367
2.5216 4.7243 0.7414
1.4365 5.1889 5.9824
1.5676 0.8879 9.0921
2.6526 2.4165 3.8511
2.5276 1.4863 5.8905
3.6126 1.8181 0.6495
3.3283 4.7907 9.8326
4.4133 5.1225 4.5916
4.2883 4.1923 6.6309
5.3733 5.7208 1.3899
5.5044 1.4199 4.4996
4.4194 1.8845 9.7406
6.5768 1.5181 2.5454
5.4918 1.7863 7.7864
7.1750 4.4568 0.7873
6.0900 5.4563 6.0283
5.9822 0.2831 9.3912
7.0672 3.0213 4.1502
6.7426 4.2382 8.6863
7.8276 5.6750 3.4453
```

Largest 10 diffraction maxima, most intense first, 2θ = 10–80°:
d (Å)	I (rel.)
4.165	1000
5.241	469
3.030	467
3.687	455
2.403	361
2.651	350
4.986	273
4.522	248
2.974	225
1.770	223